1.
For Tl2SiNi, a PBE-relaxed structure gives the calculated X-ray diffraction stick pattern in this record (Cu Kα X-rays).
Lines closer than 0.1° are merged.

Crystal structure
```
Tl2SiNi
1.0
0.000 3.435 3.435
3.435 0.000 3.435
3.435 3.435 0.000
Tl Si Ni
2 1 1
Direct
0.250 0.250 0.250 Tl
0.750 0.750 0.750 Tl
0.000 0.000 0.000 Si
0.500 0.500 0.500 Ni
```

The 6 most intense peaks (15 to 90 degrees two-theta), in order of rising 2θ:
2θ = 25.94°, intensity 47; 2θ = 37.01°, intensity 100; 2θ = 45.74°, intensity 14; 2θ = 53.33°, intensity 18; 2θ = 60.24°, intensity 20; 2θ = 66.69°, intensity 36



2.
For Na2Ti2O5, a PBE-relaxed structure gives the calculated X-ray diffraction stick pattern in this record (Cu Kα X-rays).
Lines closer than 0.1° are merged.

Crystal structure
```
Na2Ti2O5
1.0
5.959 -1.833 0.000
5.959 1.833 0.000
-0.908 0.000 5.752
Na Ti O
2 2 5
Direct
0.100 0.100 0.355 Na
0.900 0.900 0.645 Na
0.355 0.355 0.099 Ti
0.645 0.645 0.901 Ti
0.179 0.179 0.013 O
0.375 0.375 0.399 O
0.500 0.500 0.000 O
0.625 0.625 0.601 O
0.821 0.821 0.987 O
```

The 6 most intense peaks (15 to 90 degrees two-theta), in order of rising 2θ:
2θ = 15.40°, intensity 79; 2θ = 19.83°, intensity 39; 2θ = 30.37°, intensity 58; 2θ = 30.51°, intensity 100; 2θ = 32.45°, intensity 27; 2θ = 49.75°, intensity 29



3.
For TaFeRu2, a PBE-relaxed structure gives the calculated X-ray diffraction stick pattern in this record (Cu Kα X-rays).
Lines closer than 0.1° are merged.

Crystal structure
```
TaFeRu2
1.0
0.000 3.094 3.094
3.094 0.000 3.094
3.094 3.094 0.000
Ta Fe Ru
1 1 2
Direct
0.000 0.000 0.000 Ta
0.500 0.500 0.500 Fe
0.250 0.250 0.250 Ru
0.750 0.750 0.750 Ru
```

The 6 most intense peaks (15 to 90 degrees two-theta), in order of rising 2θ:
2θ = 24.92°, intensity 18; 2θ = 41.26°, intensity 100; 2θ = 48.81°, intensity 9; 2θ = 59.78°, intensity 16; 2θ = 75.22°, intensity 33; 2θ = 89.61°, intensity 11



4.
For Ca2Ni10H, a PBE-relaxed structure gives the calculated X-ray diffraction stick pattern in this record (Cu Kα X-rays).
Lines closer than 0.1° are merged.

Crystal structure
```
Ca2Ni10H
1.0
7.871 0.000 0.000
0.000 2.474 4.267
0.000 -2.474 4.267
Ca Ni H
2 10 1
Direct
0.241 0.000 0.000 Ca
0.759 0.000 0.000 Ca
0.000 0.000 0.500 Ni
0.000 0.500 0.000 Ni
0.000 0.500 0.500 Ni
0.249 0.334 0.334 Ni
0.249 0.664 0.664 Ni
0.500 0.004 0.495 Ni
0.500 0.495 0.004 Ni
0.500 0.501 0.501 Ni
0.751 0.334 0.334 Ni
0.751 0.664 0.664 Ni
0.500 0.860 0.860 H
```

The 6 most intense peaks (15 to 90 degrees two-theta), in order of rising 2θ:
2θ = 20.77°, intensity 71; 2θ = 43.19°, intensity 50; 2θ = 43.30°, intensity 100; 2θ = 46.13°, intensity 49; 2θ = 48.41°, intensity 59; 2θ = 48.54°, intensity 31



5.
For NiS2, a PBE-relaxed structure gives the calculated X-ray diffraction stick pattern in this record (Cu Kα X-rays).
Lines closer than 0.1° are merged.

Crystal structure
```
NiS2
1.0
3.761 0.000 0.000
0.000 5.351 0.000
-2.771 0.000 4.689
Ni S
2 4
Direct
0.000 0.000 0.000 Ni
0.000 0.500 0.500 Ni
0.168 0.114 0.679 S
0.168 0.386 0.179 S
0.832 0.614 0.821 S
0.832 0.886 0.321 S
```

The 6 most intense peaks (15 to 90 degrees two-theta), in order of rising 2θ:
2θ = 25.26°, intensity 47; 2θ = 27.55°, intensity 100; 2θ = 33.50°, intensity 34; 2θ = 33.94°, intensity 47; 2θ = 44.65°, intensity 46; 2θ = 49.54°, intensity 31



6.
For LuTlTe2, a PBE-relaxed structure gives the calculated X-ray diffraction stick pattern in this record (Cu Kα X-rays).
Lines closer than 0.1° are merged.

Crystal structure
```
LuTlTe2
1.0
2.189 1.264 8.231
-2.189 1.264 8.231
0.000 -2.527 8.231
Lu Tl Te
1 1 2
Direct
0.000 0.000 0.000 Lu
0.500 0.500 0.500 Tl
0.264 0.264 0.264 Te
0.736 0.736 0.736 Te
```

The 6 most intense peaks (15 to 90 degrees two-theta), in order of rising 2θ:
2θ = 27.61°, intensity 100; 2θ = 37.58°, intensity 38; 2θ = 41.24°, intensity 36; 2θ = 50.36°, intensity 19; 2θ = 61.89°, intensity 14; 2θ = 67.05°, intensity 16